[1]
Structure and calculated powder diffractogram of La2AgRu (the PBE geometry in Alexandria; Cu Kα (λ = 1.5418 Å)).
Lines closer than 0.1° are merged.

Peak list (6 most intense, 15 to 90 degrees two-theta, in order of rising 2θ)
index	2θ (°)	I/Imax
2 2 0	34.5	100
4 0 0	49.6	12
2 4 1	61.7	24
4 2 1	61.8	12
4 4 0	72.6	7
6 2 0	83.1	8

Lattice parameters (Å, degrees): 7.3487 7.3761 3.6773 90.00 90.00 90.00
Space group Cmmm (No. 65)
One atom of each set of equivalent atoms:
La 0.2500 0.2500 0.0000 (multiplicity 4)
Ag 0.0000 0.0000 0.5000 (multiplicity 2)
Ru 0.0000 0.5000 0.5000 (multiplicity 2)

=====

[2]
Structure and calculated powder diffractogram of Ba3SiF12 (the PBE geometry in Alexandria; Cu Kα (λ = 1.5418 Å)).
Lines closer than 0.1° are merged.

Peak list (6 most intense, 15 to 90 degrees two-theta, in order of rising 2θ)
index	2θ (°)	I/Imax
2 0 -1	23.9	52
0 2 1	24.3	66
0 4 0	24.7	57
2 2 0	25.9	100
2 0 1	36.9	56
2 6 0	44.3	56

Lattice parameters (Å, degrees): 8.5578 14.4007 4.6520 90.00 113.69 90.00
Space group C2/m (No. 12)
One atom of each set of equivalent atoms:
Ba 0.0000 0.0000 0.0000 (multiplicity 2)
Ba 0.2500 0.2500 0.5000 (multiplicity 4)
Si 0.0000 0.5000 0.5000 (multiplicity 2)
F 0.0726 0.4196 0.7720 (multiplicity 8)
F 0.0871 0.1952 0.8568 (multiplicity 8)
F 0.2277 0.0748 0.5231 (multiplicity 8)

=====

[3]
Structure and calculated powder diffractogram of AsP2Au (the PBE geometry in Alexandria; Cu Kα (λ = 1.5418 Å)).
Lines closer than 0.1° are merged.

Peak list (6 most intense, 15 to 90 degrees two-theta, in order of rising 2θ)
index	2θ (°)	I/Imax
1 1 0	23.1	36
0 2 0	23.8	50
0 0 1	24.5	47
2 0 -1	33.1	53
0 2 1	34.4	100
2 2 0	47.1	38

Lattice parameters (Å, degrees): 5.4229 7.4829 4.3784 90.00 123.86 90.00
Space group C2 (No. 5)
One atom of each set of equivalent atoms:
As 0.0000 0.0000 0.0000 (multiplicity 2)
P 0.1957 0.7791 0.4813 (multiplicity 4)
Au 0.0000 0.5175 0.0000 (multiplicity 2)

=====

[4]
Structure and calculated powder diffractogram of Cs2BiI6F (the PBE geometry in Alexandria; Cu Kα (λ = 1.5418 Å)).
Lines closer than 0.1° are merged.

Peak list (6 most intense, 15 to 90 degrees two-theta, in order of rising 2θ)
index	2θ (°)	I/Imax
2 0 2	25.6	91
2 2 0	27.3	100
4 0 0	38.9	37
2 2 4	44.0	47
4 2 2	47.2	30
4 0 4	52.5	27

Lattice parameters (Å, degrees): 9.2510 9.2510 10.5913 90.00 90.00 90.00
Space group I4/mmm (No. 139)
One atom of each set of equivalent atoms:
Cs 0.0000 0.5000 0.2500 (multiplicity 4)
Bi 0.0000 0.0000 0.0000 (multiplicity 2)
I 0.0000 0.0000 0.2821 (multiplicity 4)
I 0.2343 0.2343 0.0000 (multiplicity 8)
F 0.0000 0.0000 0.5000 (multiplicity 2)

=====

[5]
Structure and calculated powder diffractogram of K2CoSi (the PBE geometry in Alexandria; Cu Kα (λ = 1.5418 Å)).
Lines closer than 0.1° are merged.

Peak list (6 most intense, 15 to 90 degrees two-theta, in order of rising 2θ)
index	2θ (°)	I/Imax
0 1 1	25.6	64
0 0 3	26.7	100
1 0 1	32.2	34
0 0 4	35.9	45
1 1 0	39.5	86
1 1 3	48.4	69

Lattice parameters (Å, degrees): 2.8911 3.7028 10.0189 90.00 90.00 90.00
Space group Pmm2 (No. 25)
One atom of each set of equivalent atoms:
K 0.0000 0.0000 0.0000 (multiplicity 1)
K 0.5000 0.5000 0.4105 (multiplicity 1)
Co 0.0000 0.0000 0.6997 (multiplicity 1)
Si 0.5000 0.5000 0.7214 (multiplicity 1)

=====

[6]
Structure and calculated powder diffractogram of KCaCd2Ir (the PBE geometry in Alexandria; Cu Kα (λ = 1.5418 Å)).
Lines closer than 0.1° are merged.

Peak list (6 most intense, 15 to 90 degrees two-theta, in order of rising 2θ)
index	2θ (°)	I/Imax
1 0 0	16.4	68
0 0 1	16.7	100
1 0 1	23.5	57
2 0 0	33.2	87
2 0 1	37.4	56
2 0 2	48.1	59

Lattice parameters (Å, degrees): 5.3960 5.3960 5.3000 90.00 90.00 90.00
Space group P4/mmm (No. 123)
One atom of each set of equivalent atoms:
K 0.0000 0.0000 0.0000 (multiplicity 1)
Ca 0.5000 0.5000 0.0000 (multiplicity 1)
Cd 0.0000 0.5000 0.5000 (multiplicity 2)
Ir 0.5000 0.5000 0.5000 (multiplicity 1)

=====

[7]
Structure and calculated powder diffractogram of AcPuI4 (the PBE geometry in Alexandria; Cu Kα (λ = 1.5418 Å)).
Lines closer than 0.1° are merged.

Peak list (6 most intense, 15 to 90 degrees two-theta, in order of rising 2θ)
index	2θ (°)	I/Imax
2 0 1	25.8	100
2 0 -2	31.9	12
1 1 -2	32.3	22
1 1 2	32.6	35
3 1 0	40.6	22
1 1 3	41.5	18

Lattice parameters (Å, degrees): 7.7313 4.3869 8.0067 90.00 91.10 90.00
Space group P2/m (No. 10)
One atom of each set of equivalent atoms:
Ac 0.0000 0.0000 0.0000 (multiplicity 1)
Pu 0.5000 0.5000 0.0000 (multiplicity 1)
I 0.1767 0.5000 0.7384 (multiplicity 2)
I 0.3479 0.0000 0.2473 (multiplicity 2)

=====

[8]
Structure and calculated powder diffractogram of La2In5Ag4 (the PBE geometry in Alexandria; Cu Kα (λ = 1.5418 Å)).
Lines closer than 0.1° are merged.

Peak list (6 most intense, 15 to 90 degrees two-theta, in order of rising 2θ)
index	2θ (°)	I/Imax
0 3 1	30.1	29
1 3 0	32.4	26
2 0 2	35.3	63
2 2 0	35.6	17
0 0 4	37.6	100
2 2 2	40.4	19

Lattice parameters (Å, degrees): 5.9916 9.3533 9.5692 90.00 90.00 90.00
Space group Immm (No. 71)
One atom of each set of equivalent atoms:
La 0.0000 0.0000 0.2170 (multiplicity 4)
In 0.0000 0.5000 0.5000 (multiplicity 2)
In 0.2481 0.1929 0.5000 (multiplicity 8)
Ag 0.0000 0.3389 0.2520 (multiplicity 8)